1.
Na2ThZn9: simulated powder XRD pattern (λ = 1.5418 Å (Cu Kα)), based on the PBE geometry in Alexandria.

Structure:
```
data_Na2ThZn9
_cell_length_a 5.4365
_cell_length_b 5.4365
_cell_length_c 25.8850
_cell_angle_alpha 90.00
_cell_angle_beta 90.00
_cell_angle_gamma 120.00
_space_group_name_H-M_alt 'R -3 m'
_space_group_IT_number 166
_space_group_name_Hall '-R 3 2"'
loop_
_atom_site_label
_atom_site_fract_x
_atom_site_fract_y
_atom_site_fract_z
Na1 0.0000 0.0000 0.1441
Th1 0.0000 0.0000 0.0000
Zn1 0.0000 0.0000 0.3343
Zn2 0.0000 0.0000 0.5000
Zn3 0.0037 0.5019 0.9174
```

The 8 most intense peaks (10° ≤ 2θ ≤ 90°), low angle first:
2θ = 10.25°, 8.628 Å, I 67, (0 0 3); 2θ = 23.37°, 3.807 Å, I 32, (1 0 4); 2θ = 32.95°, 2.718 Å, I 25, (1 1 0); 2θ = 38.40°, 2.344 Å, I 33, (0 2 1); 2θ = 38.88°, 2.316 Å, I 25, (2 0 2); 2θ = 39.17°, 2.300 Å, I 100, (1 1 6); 2θ = 41.88°, 2.157 Å, I 27, (0 0 12); 2θ = 63.03°, 1.475 Å, I 24, (3 0 6)

2.
NaTi: simulated powder XRD pattern (λ = 1.5418 Å (Cu Kα)), based on the PBE geometry in Alexandria.

Structure:
```
data_NaTi
_cell_length_a 9.856
_cell_length_b 9.856
_cell_length_c 4.717
_cell_angle_alpha 90.00
_cell_angle_beta 90.00
_cell_angle_gamma 90.00
_space_group_name_H-M_alt 'P 4/m'
_space_group_IT_number 83
_space_group_name_Hall '-P 4'
loop_
_atom_site_label
_atom_site_fract_x
_atom_site_fract_y
_atom_site_fract_z
Na1 0.068 0.360 0.000
Na2 0.138 0.770 0.500
Ti1 0.306 0.468 0.500
Ti2 0.335 0.597 0.000
```

The 8 most intense peaks (10° ≤ 2θ ≤ 90°), low angle first:
2θ = 12.70°, 6.969 Å, I 56, (1 1 0); 2θ = 32.76°, 2.734 Å, I 81, (3 2 0); 2θ = 33.23°, 2.696 Å, I 59, (3 0 1); 2θ = 34.49°, 2.600 Å, I 100, (1 3 1); 2θ = 38.05°, 2.365 Å, I 57, (2 3 1); 2θ = 38.15°, 2.359 Å, I 61, (0 0 2); 2θ = 41.34°, 2.184 Å, I 37, (4 0 1); 2θ = 51.13°, 1.787 Å, I 55, (3 2 2)

3.
NaTi2V: simulated powder XRD pattern (λ = 1.5418 Å (Cu Kα)), based on the PBE geometry in Alexandria.

Structure:
```
data_NaTi2V
_cell_length_a 6.594
_cell_length_b 6.594
_cell_length_c 6.594
_cell_angle_alpha 90.00
_cell_angle_beta 90.00
_cell_angle_gamma 90.00
_space_group_name_H-M_alt 'F m -3 m'
_space_group_IT_number 225
_space_group_name_Hall '-F 4 2 3'
loop_
_atom_site_label
_atom_site_fract_x
_atom_site_fract_y
_atom_site_fract_z
Na1 0.000 0.000 0.000
Ti1 0.250 0.250 0.250
V1 0.000 0.000 0.500
```

The 8 most intense peaks (10° ≤ 2θ ≤ 90°), low angle first:
2θ = 23.37°, 3.807 Å, I 6, (1 1 1); 2θ = 27.04°, 3.297 Å, I 2, (2 0 0); 2θ = 38.62°, 2.331 Å, I 100, (2 2 0); 2θ = 45.63°, 1.988 Å, I 3, (3 1 1); 2θ = 55.76°, 1.649 Å, I 15, (4 0 0); 2θ = 61.27°, 1.513 Å, I 1, (3 3 1); 2θ = 69.88°, 1.346 Å, I 29, (4 2 2); 2θ = 82.81°, 1.166 Å, I 9, (4 4 0)

4.
NaTi4W2: simulated powder XRD pattern (λ = 1.5418 Å (Cu Kα)), based on the PBE geometry in Alexandria.

Structure:
```
data_NaTi4W2
_cell_length_a 4.671
_cell_length_b 4.671
_cell_length_c 12.650
_cell_angle_alpha 90.00
_cell_angle_beta 90.00
_cell_angle_gamma 90.00
_space_group_name_H-M_alt 'I 4/m m m'
_space_group_IT_number 139
_space_group_name_Hall '-I 4 2'
loop_
_atom_site_label
_atom_site_fract_x
_atom_site_fract_y
_atom_site_fract_z
Na1 0.000 0.000 0.000
Ti1 0.000 0.000 0.202
Ti2 0.000 0.500 0.000
W1 0.000 0.000 0.393
```

The 8 most intense peaks (10° ≤ 2θ ≤ 90°), low angle first:
2θ = 20.27°, 4.382 Å, I 100, (1 0 1); 2θ = 27.00°, 3.303 Å, I 72, (1 1 0); 2θ = 38.55°, 2.335 Å, I 62, (2 0 0); 2θ = 39.45°, 2.284 Å, I 46, (1 1 4); 2θ = 40.55°, 2.225 Å, I 73, (1 0 5); 2θ = 43.93°, 2.061 Å, I 28, (2 1 1); 2θ = 55.66°, 1.651 Å, I 21, (2 2 0); 2θ = 57.19°, 1.611 Å, I 52, (2 1 5)

5.
Na13Tl3: simulated powder XRD pattern (λ = 1.5418 Å (Cu Kα)), based on the PBE geometry in Alexandria.

Structure:
```
data_Na13Tl3
_cell_length_a 10.357
_cell_length_b 9.809
_cell_length_c 10.147
_cell_angle_alpha 90.00
_cell_angle_beta 90.00
_cell_angle_gamma 90.00
_space_group_name_H-M_alt 'A m m 2'
_space_group_IT_number 38
_space_group_name_Hall 'A 2 -2'
loop_
_atom_site_label
_atom_site_fract_x
_atom_site_fract_y
_atom_site_fract_z
Na1 0.000 0.000 0.000
Na2 0.000 0.000 0.477
Na3 0.000 0.243 0.237
Na4 0.259 0.238 0.985
Na5 0.262 0.000 0.734
Na6 0.500 0.000 0.475
Na7 0.500 0.224 0.228
Tl1 0.243 0.000 0.240
Tl2 0.500 0.000 0.971
```

The 8 most intense peaks (10° ≤ 2θ ≤ 90°), low angle first:
2θ = 12.55°, 7.052 Å, I 71, (0 1 1); 2θ = 15.20°, 5.829 Å, I 20, (1 1 1); 2θ = 18.09°, 4.904 Å, I 30, (0 2 0); 2θ = 21.29°, 4.174 Å, I 46, (2 1 1); 2θ = 24.56°, 3.624 Å, I 28, (2 0 2); 2θ = 30.67°, 2.915 Å, I 100, (2 2 2); 2θ = 33.60°, 2.667 Å, I 19, (2 3 1); 2θ = 34.64°, 2.589 Å, I 18, (4 0 0)

6.
Na2Tl: simulated powder XRD pattern (λ = 1.5418 Å (Cu Kα)), based on the PBE geometry in Alexandria.

Structure:
```
data_Na2Tl
_cell_length_a 8.950
_cell_length_b 14.200
_cell_length_c 11.667
_cell_angle_alpha 90.00
_cell_angle_beta 90.00
_cell_angle_gamma 90.00
_space_group_name_H-M_alt 'C 2 2 21'
_space_group_IT_number 20
_space_group_name_Hall 'C 2c 2'
loop_
_atom_site_label
_atom_site_fract_x
_atom_site_fract_y
_atom_site_fract_z
Na1 0.000 0.071 0.250
Na2 0.081 0.132 0.583
Na3 0.101 0.500 0.000
Na4 0.198 0.294 0.829
Na5 0.214 0.377 0.543
Tl1 0.053 0.284 0.115
Tl2 0.180 0.452 0.277
```

The 8 most intense peaks (10° ≤ 2θ ≤ 90°), low angle first:
2θ = 11.69°, 7.572 Å, I 47, (1 1 0); 2θ = 13.94°, 6.351 Å, I 100, (1 1 1); 2θ = 14.60°, 6.065 Å, I 54, (0 2 1); 2θ = 23.50°, 3.786 Å, I 39, (2 2 0); 2θ = 31.40°, 2.849 Å, I 46, (1 3 3); 2θ = 33.08°, 2.708 Å, I 86, (2 4 1); 2θ = 33.21°, 2.698 Å, I 38, (0 2 4); 2θ = 34.35°, 2.611 Å, I 41, (3 1 2)

7.
Na12Tl17: simulated powder XRD pattern (λ = 1.5418 Å (Cu Kα)), based on the PBE geometry in Alexandria.

Structure:
```
data_Na12Tl17
_cell_length_a 11.914
_cell_length_b 11.914
_cell_length_c 11.914
_cell_angle_alpha 90.00
_cell_angle_beta 90.00
_cell_angle_gamma 90.00
_space_group_name_H-M_alt 'I -4 3 m'
_space_group_IT_number 217
_space_group_name_Hall 'I -4 2 3'
loop_
_atom_site_label
_atom_site_fract_x
_atom_site_fract_y
_atom_site_fract_z
Na1 0.095 0.095 0.710
Tl1 0.000 0.000 0.000
Tl2 0.052 0.363 0.637
Tl3 0.172 0.172 0.172
```

The 8 most intense peaks (10° ≤ 2θ ≤ 90°), low angle first:
2θ = 18.24°, 4.864 Å, I 33, (2 1 1); 2θ = 30.00°, 2.979 Å, I 12, (4 0 0); 2θ = 31.87°, 2.808 Å, I 100, (3 3 0); 2θ = 36.96°, 2.432 Å, I 13, (4 2 2); 2θ = 45.69°, 1.986 Å, I 11, (6 0 0); 2θ = 49.59°, 1.838 Å, I 9, (5 4 1); 2θ = 56.78°, 1.621 Å, I 26, (5 5 2); 2θ = 67.65°, 1.385 Å, I 10, (8 3 1)

8.
Na5Tl4: simulated powder XRD pattern (λ = 1.5418 Å (Cu Kα)), based on the PBE geometry in Alexandria.

Structure:
```
data_Na5Tl4
_cell_length_a 10.758
_cell_length_b 5.018
_cell_length_c 10.141
_cell_angle_alpha 90.00
_cell_angle_beta 109.82
_cell_angle_gamma 90.00
_space_group_name_H-M_alt 'C 1 2/m 1'
_space_group_IT_number 12
_space_group_name_Hall '-C 2y'
loop_
_atom_site_label
_atom_site_fract_x
_atom_site_fract_y
_atom_site_fract_z
Na1 0.000 0.000 0.000
Na2 0.003 0.000 0.338
Na3 0.173 0.500 0.225
Tl1 0.167 0.500 0.560
Tl2 0.167 0.500 0.895
```

The 8 most intense peaks (10° ≤ 2θ ≤ 90°), low angle first:
2θ = 17.53°, 5.061 Å, I 16, (2 0 0); 2θ = 19.75°, 4.496 Å, I 23, (1 1 0); 2θ = 20.53°, 4.326 Å, I 18, (1 1 -1); 2θ = 31.95°, 2.801 Å, I 100, (3 1 0); 2θ = 35.79°, 2.509 Å, I 20, (0 2 0); 2θ = 37.16°, 2.420 Å, I 17, (4 0 -3); 2θ = 38.19°, 2.357 Å, I 15, (2 0 3); 2θ = 61.91°, 1.499 Å, I 16, (3 3 0)

9.
Na2Tl: simulated powder XRD pattern (λ = 1.5418 Å (Cu Kα)), based on the PBE geometry in Alexandria.

Structure:
```
data_Na2Tl
_cell_length_a 4.081
_cell_length_b 4.081
_cell_length_c 10.780
_cell_angle_alpha 90.00
_cell_angle_beta 90.00
_cell_angle_gamma 90.00
_space_group_name_H-M_alt 'I 4/m m m'
_space_group_IT_number 139
_space_group_name_Hall '-I 4 2'
loop_
_atom_site_label
_atom_site_fract_x
_atom_site_fract_y
_atom_site_fract_z
Na1 0.000 0.000 0.159
Tl1 0.000 0.000 0.500
```

The 8 most intense peaks (10° ≤ 2θ ≤ 90°), low angle first:
2θ = 16.45°, 5.390 Å, I 60, (0 0 2); 2θ = 23.31°, 3.816 Å, I 100, (1 0 1); 2θ = 30.99°, 2.886 Å, I 52, (1 1 0); 2θ = 33.22°, 2.697 Å, I 95, (1 0 3); 2θ = 35.28°, 2.544 Å, I 38, (1 1 2); 2θ = 47.68°, 1.907 Å, I 34, (1 0 5); 2θ = 50.75°, 1.799 Å, I 32, (0 0 6); 2θ = 56.56°, 1.627 Å, I 46, (2 1 3)

10.
Na5Tl6: simulated powder XRD pattern (λ = 1.5418 Å (Cu Kα)), based on the PBE geometry in Alexandria.

Structure:
```
data_Na5Tl6
_cell_length_a 5.190
_cell_length_b 8.051
_cell_length_c 15.443
_cell_angle_alpha 90.00
_cell_angle_beta 90.00
_cell_angle_gamma 90.00
_space_group_name_H-M_alt 'I m m m'
_space_group_IT_number 71
_space_group_name_Hall '-I 2 2'
loop_
_atom_site_label
_atom_site_fract_x
_atom_site_fract_y
_atom_site_fract_z
Na1 0.000 0.000 0.000
Na2 0.000 0.000 0.298
Na3 0.000 0.500 0.342
Tl1 0.000 0.196 0.500
Tl2 0.000 0.294 0.136
```

The 8 most intense peaks (10° ≤ 2θ ≤ 90°), low angle first:
2θ = 12.40°, 7.139 Å, I 28, (0 1 1); 2θ = 22.08°, 4.025 Å, I 52, (0 2 0); 2θ = 24.35°, 3.655 Å, I 100, (1 0 3); 2θ = 33.11°, 2.706 Å, I 100, (1 2 3); 2θ = 33.77°, 2.654 Å, I 30, (1 0 5); 2θ = 33.90°, 2.644 Å, I 28, (0 3 1); 2θ = 34.57°, 2.595 Å, I 40, (2 0 0); 2θ = 44.67°, 2.028 Å, I 35, (1 3 4)

11.
Na4Tl3: simulated powder XRD pattern (λ = 1.5418 Å (Cu Kα)), based on the PBE geometry in Alexandria.

Structure:
```
data_Na4Tl3
_cell_length_a 3.584
_cell_length_b 4.753
_cell_length_c 23.936
_cell_angle_alpha 90.00
_cell_angle_beta 90.00
_cell_angle_gamma 90.00
_space_group_name_H-M_alt 'I m m m'
_space_group_IT_number 71
_space_group_name_Hall '-I 2 2'
loop_
_atom_site_label
_atom_site_fract_x
_atom_site_fract_y
_atom_site_fract_z
Na1 0.000 0.000 0.070
Na2 0.000 0.000 0.211
Tl1 0.000 0.000 0.358
Tl2 0.000 0.000 0.500
```

The 8 most intense peaks (10° ≤ 2θ ≤ 90°), low angle first:
2θ = 19.04°, 4.662 Å, I 100, (0 1 1); 2θ = 22.28°, 3.989 Å, I 35, (0 0 6); 2θ = 25.13°, 3.544 Å, I 52, (1 0 1); 2θ = 31.26°, 2.862 Å, I 97, (1 1 0); 2θ = 32.25°, 2.776 Å, I 91, (0 1 7); 2θ = 36.31°, 2.474 Å, I 64, (1 0 7); 2θ = 38.73°, 2.325 Å, I 36, (1 1 6); 2θ = 53.46°, 1.714 Å, I 42, (1 2 7)

12.
Na13Tl3: simulated powder XRD pattern (λ = 1.5418 Å (Cu Kα)), based on the PBE geometry in Alexandria.

Structure:
```
data_Na13Tl3
_cell_length_a 7.878
_cell_length_b 11.556
_cell_length_c 11.557
_cell_angle_alpha 90.00
_cell_angle_beta 90.00
_cell_angle_gamma 90.00
_space_group_name_H-M_alt 'A m m 2'
_space_group_IT_number 38
_space_group_name_Hall 'A 2 -2'
loop_
_atom_site_label
_atom_site_fract_x
_atom_site_fract_y
_atom_site_fract_z
Na1 0.000 0.000 0.000
Na2 0.000 0.000 0.464
Na3 0.000 0.232 0.236
Na4 0.254 0.000 0.739
Na5 0.259 0.240 0.986
Na6 0.500 0.000 0.466
Na7 0.500 0.235 0.235
Tl1 0.260 0.000 0.227
Tl2 0.500 0.000 0.983
```

The 8 most intense peaks (10° ≤ 2θ ≤ 90°), low angle first:
2θ = 10.83°, 8.172 Å, I 100, (0 1 1); 2θ = 15.33°, 5.778 Å, I 42, (0 2 0); 2θ = 24.36°, 3.655 Å, I 25, (0 3 1); 2θ = 25.10°, 3.548 Å, I 23, (2 1 1); 2θ = 30.95°, 2.889 Å, I 43, (0 4 0); 2θ = 31.55°, 2.836 Å, I 82, (2 2 2); 2θ = 33.45°, 2.679 Å, I 29, (2 1 3); 2θ = 55.43°, 1.658 Å, I 31, (2 6 2)

13.
Na7Tl2: simulated powder XRD pattern (λ = 1.5418 Å (Cu Kα)), based on the PBE geometry in Alexandria.

Structure:
```
data_Na7Tl2
_cell_length_a 6.2306
_cell_length_b 6.2306
_cell_length_c 8.6187
_cell_angle_alpha 90.00
_cell_angle_beta 90.00
_cell_angle_gamma 120.00
_space_group_name_H-M_alt 'P -3 1 m'
_space_group_IT_number 162
_space_group_name_Hall '-P 3 2'
loop_
_atom_site_label
_atom_site_fract_x
_atom_site_fract_y
_atom_site_fract_z
Na1 0.0000 0.0000 0.0000
Na2 0.0000 0.3456 0.6799
Tl1 0.3333 0.6667 0.0000
```

The 8 most intense peaks (10° ≤ 2θ ≤ 90°), low angle first:
2θ = 10.26°, 8.619 Å, I 100, (0 0 1); 2θ = 16.43°, 5.396 Å, I 28, (1 0 0); 2θ = 19.41°, 4.574 Å, I 34, (1 0 1); 2θ = 28.65°, 3.115 Å, I 28, (1 1 0); 2θ = 30.51°, 2.930 Å, I 85, (1 1 1); 2θ = 31.13°, 2.873 Å, I 20, (0 0 3); 2θ = 35.56°, 2.525 Å, I 60, (2 -1 2); 2θ = 42.82°, 2.112 Å, I 20, (2 -1 3)